Diffraction record for Ac5La4Sm. The X-ray powder pattern is calculated, not measured: it uses a cell relaxed with PBE and Cu Kα (weighted mean of Kα1 and Kα2).
Intensities are scaled so that the largest is 100.

Crystal structure
a = 3.881 Å, b = 3.881 Å, c = 26.902 Å
α = 90.00°, β = 90.00°, γ = 90.00°
Atoms (fractional coordinates):
Ac (0.000, 0.000, 0.000)
Ac (0.000, 0.000, 0.201)
Ac (0.000, 0.000, 0.403)
Ac (0.000, 0.000, 0.597)
Ac (0.000, 0.000, 0.799)
La (0.500, 0.500, 0.101)
La (0.500, 0.500, 0.303)
La (0.500, 0.500, 0.697)
La (0.500, 0.500, 0.899)
Sm (0.500, 0.500, 0.500)

Largest 10 diffraction maxima, sorted by position, 15° ≤ 2θ ≤ 90°:
28.4 deg, I 100, hkl 1 0 5; 32.6 deg, I 35, hkl 1 1 0; 33.3 deg, I 16, hkl 0 0 10; 46.8 deg, I 13, hkl 2 0 0; 47.3 deg, I 25, hkl 1 1 10; 55.6 deg, I 31, hkl 2 1 5; 56.5 deg, I 14, hkl 1 0 15; 58.7 deg, I 13, hkl 2 0 10; 76.4 deg, I 12, hkl 2 1 15; 87.3 deg, I 9, hkl 3 1 10